1.
Computed powder X-ray diffraction pattern of Sr4CaSi3 for λ = 1.5418 Å (Cu Kα), from the GGA-PBE geometry in the Materials Project.

Structure:
Cell lengths 7.9363, 7.9363, 15.9785 Å; angles 90.00, 90.00, 90.00 degrees
Space group I4/mcm (No. 140)
Asymmetric unit:
Sr1 0.1804 0.3196 0.1399
Ca1 0.0000 0.0000 0.0000
Si1 0.0000 0.0000 0.2500
Si2 0.1106 0.3894 0.5000

The 8 most intense peaks (2θ = 10–80°), low angle first:
| 2θ/deg | I_rel | (hkl) |
| --- | --- | --- |
| 25.71 | 341 | 2 1 1 |
| 30.26 | 1000 | 2 1 3 |
| 31.79 | 595 | 2 0 4 |
| 35.78 | 282 | 3 1 0 |
| 47.58 | 202 | 4 1 1 |
| 50.41 | 259 | 4 1 3 |
| 54.14 | 196 | 3 3 4 |
| 63.19 | 199 | 4 1 7 |



2.
Computed powder X-ray diffraction pattern of Sc2S3 for λ = 1.5418 Å (Cu Kα), from the GGA-PBE geometry in the Materials Project.

Structure:
Cell lengths 6.7486, 6.1963, 9.5593 Å; angles 90.00, 90.00, 90.00 degrees
Space group Pna2_1 (No. 33)
Asymmetric unit:
Sc1 0.0031 0.0037 0.0000
Sc2 0.1033 0.5450 0.2473
S1 0.0610 0.8392 0.7488
S2 0.1785 0.3257 0.5803
S3 0.1831 0.3281 0.9124

The 8 most intense peaks (2θ = 10–80°), low angle first:
| 2θ/deg | I_rel | (hkl) |
| --- | --- | --- |
| 27.01 | 1000 | 1 1 2 |
| 31.58 | 852 | 0 1 3 |
| 33.17 | 620 | 1 2 1 |
| 34.32 | 601 | 1 1 3 |
| 35.65 | 420 | 2 1 2 |
| 40.64 | 363 | 2 2 1 |
| 42.75 | 488 | 3 1 0 |
| 49.97 | 642 | 1 3 2 |



3.
Computed powder X-ray diffraction pattern of PrBS3 for λ = 1.5418 Å (Cu Kα), from the GGA-PBE geometry in the Materials Project.

Structure:
Cell lengths 7.6760, 6.0327, 8.9960 Å; angles 90.00, 90.00, 90.00 degrees
Space group Pna2_1 (No. 33)
Asymmetric unit:
Pr1 0.1140 0.0708 0.0000
B1 0.1462 0.5962 0.8288
S1 0.0020 0.5957 0.9871
S2 0.1731 0.8346 0.7066
S3 0.2043 0.8659 0.2976

The 8 most intense peaks (2θ = 10–80°), low angle first:
| 2θ/deg | I_rel | (hkl) |
| --- | --- | --- |
| 18.71 | 681 | 1 1 0 |
| 19.74 | 641 | 0 0 2 |
| 21.18 | 858 | 1 1 1 |
| 25.23 | 1000 | 2 0 1 |
| 33.44 | 817 | 1 2 1 |
| 35.41 | 627 | 1 1 3 |
| 37.77 | 529 | 1 2 2 |
| 38.08 | 532 | 2 0 3 |



Repeat the third record exactly.
Computed powder X-ray diffraction pattern of PrBS3 for λ = 1.5418 Å (Cu Kα), from the GGA-PBE geometry in the Materials Project.

Structure:
Cell lengths 7.6760, 6.0327, 8.9960 Å; angles 90.00, 90.00, 90.00 degrees
Space group Pna2_1 (No. 33)
Asymmetric unit:
Pr1 0.1140 0.0708 0.0000
B1 0.1462 0.5962 0.8288
S1 0.0020 0.5957 0.9871
S2 0.1731 0.8346 0.7066
S3 0.2043 0.8659 0.2976

The 8 most intense peaks (2θ = 10–80°), low angle first:
| 2θ/deg | I_rel | (hkl) |
| --- | --- | --- |
| 18.71 | 681 | 1 1 0 |
| 19.74 | 641 | 0 0 2 |
| 21.18 | 858 | 1 1 1 |
| 25.23 | 1000 | 2 0 1 |
| 33.44 | 817 | 1 2 1 |
| 35.41 | 627 | 1 1 3 |
| 37.77 | 529 | 1 2 2 |
| 38.08 | 532 | 2 0 3 |